No. 1
DyZn8: computed XRD peak list (Cu Kα, 1.54184 Å), based on a GGA-PBE-relaxed structure.

Main lines, by angle (15° ≤ 2θ ≤ 90°):
- (1 1 0), 2θ = 20.0°, intensity 32
- (2 1 0), 2θ = 30.8°, intensity 36
- (0 0 1), 2θ = 32.7°, intensity 20
- (1 0 1), 2θ = 34.8°, intensity 21
- (2 0 1), 2θ = 40.4°, intensity 78
- (2 2 0), 2θ = 40.7°, intensity 100
- (2 2 1), 2θ = 53.1°, intensity 27
- (4 0 1), 2θ = 58.7°, intensity 24
- (4 2 1), 2θ = 73.9°, intensity 23
- (2 2 2), 2θ = 82.8°, intensity 23

Cell and atoms:
```
data_DyZn8
_chemical_formula_sum 'Dy1 Zn8'
_cell_length_a 8.8724
_cell_length_b 8.8724
_cell_length_c 2.7387
_cell_angle_alpha 90.00
_cell_angle_beta 90.00
_cell_angle_gamma 120.00
_space_group_name_H-M_alt 'P 6/m m m'
_space_group_IT_number 191
_space_group_name_Hall '-P 6 2'
loop_
_atom_site_label
_atom_site_fract_x
_atom_site_fract_y
_atom_site_fract_z
_atom_site_occupancy
Dy1 0.0000 0.0000 0.0000 1
Zn1 0.1749 0.3498 0.5000 1
Zn2 0.3333 0.6667 0.5000 1
```

=====

No. 2
FeSnCl4: computed XRD peak list (Cu Kα, 1.54184 Å), based on a GGA-PBE-relaxed structure.

Main lines, by angle (15° ≤ 2θ ≤ 90°):
- (0 0 1), 2θ = 15.7°, intensity 100
- (1 0 0), 2θ = 16.6°, intensity 51
- (0 1 0), 2θ = 16.8°, intensity 88
- (0 1 1), 2θ = 18.8°, intensity 35
- (1 1 1), 2θ = 22.1°, intensity 65
- (1 0 -1), 2θ = 23.2°, intensity 35
- (1 -1 0), 2θ = 26.4°, intensity 35
- (1 2 1), 2θ = 32.3°, intensity 68
- (1 -1 1), 2θ = 33.5°, intensity 51
- (1 0 -2), 2θ = 36.3°, intensity 40

Cell and atoms:
```
data_FeSnCl4
_chemical_formula_sum 'Fe1 Sn1 Cl4'
_cell_length_a 5.5309
_cell_length_b 5.7990
_cell_length_c 6.0205
_cell_angle_alpha 69.74
_cell_angle_beta 83.72
_cell_angle_gamma 75.06
_space_group_name_H-M_alt 'P 1'
_space_group_IT_number 1
loop_
_space_group_symop_operation_xyz
'x,y,z'
loop_
_atom_site_label
_atom_site_fract_x
_atom_site_fract_y
_atom_site_fract_z
_atom_site_occupancy
Fe1 0.0000 0.0000 0.0000 1
Sn1 0.3314 0.2203 0.1232 1
Cl1 0.2053 0.9731 0.6737 1
Cl2 0.2864 0.5938 0.2529 1
Cl3 0.6531 0.3512 0.8039 1
Cl4 0.7329 0.9445 0.3378 1
```

=====

Which formula does entry 1 have? DyZn8